Computed powder X-ray diffraction pattern of InSbAu4 for Cu Kα, from a GGA-PBE-relaxed structure.
Intensities are scaled so that the largest is 1000.

Largest 10 diffraction maxima, in order of falling intensity, 2θ = 10–80°:
Position (°2θ), d [Å], intensity, index
36.9, 2.434, 1000, 1 2 1
26.6, 3.350, 900, 0 0 2
26.0, 3.427, 854, 1 0 1
37.7, 2.385, 851, 1 1 -2
41.1, 2.197, 715, 2 1 1
37.3, 2.413, 701, -1 1 1
41.6, 2.170, 613, 0 1 3
43.1, 2.101, 554, 2 1 -1
36.5, 2.460, 549, 1 -1 0
47.0, 1.934, 369, 1 0 3

```
data_InSbAu4
_chemical_formula_sum 'In1 Sb1 Au4'
_cell_length_a 4.546
_cell_length_b 4.953
_cell_length_c 6.857
_cell_angle_alpha 77.85
_cell_angle_beta 85.93
_cell_angle_gamma 63.15
_space_group_name_H-M_alt 'P 1'
_space_group_IT_number 1
_space_group_name_Hall 'P 1'
loop_
_atom_site_label
_atom_site_fract_x
_atom_site_fract_y
_atom_site_fract_z
_atom_site_occupancy
In1 0.000 0.000 0.000 1
Sb1 0.581 0.402 0.520 1
Au1 0.274 0.996 0.600 1
Au2 0.359 0.239 0.180 1
Au3 0.674 0.625 0.126 1
Au4 0.987 0.577 0.754 1
```

Computed powder X-ray diffraction pattern of InSb2Au for Cu Kα, from a GGA-PBE-relaxed structure.
Intensities are scaled so that the largest is 1000.

Largest 10 diffraction maxima, in order of falling intensity, 2θ = 10–80°:
Position (°2θ), d [Å], intensity, index
32.6, 2.750, 1000, 3 1 -1
29.7, 3.004, 731, 2 0 1
44.3, 2.044, 464, 5 1 0
28.3, 3.152, 425, 1 1 -1
15.3, 5.805, 368, 2 0 0
45.0, 2.013, 356, 1 1 -2
41.9, 2.156, 318, 0 2 0
52.2, 1.752, 301, 2 2 1
31.0, 2.880, 206, 3 1 0
22.0, 4.043, 132, 1 1 0

```
data_InSb2Au
_chemical_formula_sum 'In2 Sb4 Au2'
_cell_length_a 12.387
_cell_length_b 4.313
_cell_length_c 4.619
_cell_angle_alpha 90.00
_cell_angle_beta 110.41
_cell_angle_gamma 90.00
_space_group_name_H-M_alt 'C 1 m 1'
_space_group_IT_number 8
_space_group_name_Hall 'C -2y'
loop_
_atom_site_label
_atom_site_fract_x
_atom_site_fract_y
_atom_site_fract_z
_atom_site_occupancy
In1 0.000 0.000 0.000 1
Sb1 0.124 0.500 0.714 1
Sb2 0.316 0.500 0.299 1
Au1 0.222 0.000 0.501 1
```

Computed powder X-ray diffraction pattern of InSbAu2Se4 for Cu Kα, from a GGA-PBE-relaxed structure.
Intensities are scaled so that the largest is 1000.

Largest 10 diffraction maxima, in order of falling intensity, 2θ = 10–80°:
Position (°2θ), d [Å], intensity, index
23.5, 3.782, 1000, -1 1 1
22.9, 3.877, 685, 1 0 1
34.3, 2.618, 658, -2 1 1
29.7, 3.007, 496, 1 0 -2
16.9, 5.239, 489, 1 0 0
33.1, 2.710, 397, 1 1 1
27.2, 3.273, 385, 1 -2 1
32.9, 2.721, 325, 1 -2 2
32.8, 2.730, 324, 0 2 -2
26.4, 3.376, 294, 1 1 -1

```
data_InSbAu2Se4
_chemical_formula_sum 'In1 Sb1 Au2 Se4'
_cell_length_a 5.718
_cell_length_b 6.887
_cell_length_c 7.088
_cell_angle_alpha 107.84
_cell_angle_beta 90.09
_cell_angle_gamma 112.38
_space_group_name_H-M_alt 'P 1'
_space_group_IT_number 1
_space_group_name_Hall 'P 1'
loop_
_atom_site_label
_atom_site_fract_x
_atom_site_fract_y
_atom_site_fract_z
_atom_site_occupancy
In1 0.000 0.000 0.000 1
Sb1 0.795 0.484 0.275 1
Au1 0.241 0.540 0.997 1
Au2 0.268 0.026 0.530 1
Se1 0.139 0.757 0.711 1
Se2 0.306 0.284 0.346 1
Se3 0.652 0.789 0.209 1
Se4 0.797 0.248 0.887 1
```

Computed powder X-ray diffraction pattern of Sr2InSb4Au3 for Cu Kα, from a GGA-PBE-relaxed structure.
Intensities are scaled so that the largest is 1000.

Largest 10 diffraction maxima, in order of falling intensity, 2θ = 10–80°:
Position (°2θ), d [Å], intensity, index
30.0, 2.981, 1000, 1 1 2
36.4, 2.469, 924, 2 0 0
40.8, 2.213, 729, 1 1 4
29.6, 3.018, 547, 1 0 3
19.6, 4.534, 410, 1 0 1
52.4, 1.746, 327, 2 2 0
43.6, 2.076, 314, 1 0 5
68.4, 1.371, 314, 3 1 4
47.6, 1.911, 297, 2 1 3
58.0, 1.589, 259, 2 1 5

```
data_Sr2InSb4Au3
_chemical_formula_sum 'Sr2 In1 Sb4 Au3'
_cell_length_a 4.939
_cell_length_b 4.939
_cell_length_c 11.441
_cell_angle_alpha 90.00
_cell_angle_beta 90.00
_cell_angle_gamma 90.00
_space_group_name_H-M_alt 'P -4 m 2'
_space_group_IT_number 115
_space_group_name_Hall 'P -4 -2'
loop_
_atom_site_label
_atom_site_fract_x
_atom_site_fract_y
_atom_site_fract_z
_atom_site_occupancy
Sr1 0.000 0.500 0.241 1
In1 0.000 0.000 0.500 1
Sb1 0.000 0.000 0.000 1
Sb2 0.000 0.500 0.636 1
Sb3 0.500 0.500 0.000 1
Au1 0.000 0.500 0.871 1
Au2 0.500 0.500 0.500 1
```

Computed powder X-ray diffraction pattern of ZnIn2Sb2Au7 for Cu Kα, from a GGA-PBE-relaxed structure.
Intensities are scaled so that the largest is 1000.

Largest 10 diffraction maxima, in order of falling intensity, 2θ = 10–80°:
Position (°2θ), d [Å], intensity, index
45.0, 2.013, 1000, 2 2 -1
31.9, 2.805, 668, 0 2 1
41.5, 2.177, 605, 0 2 5
38.2, 2.359, 564, 0 2 4
35.4, 2.538, 556, 0 2 3
10.5, 8.455, 415, 0 0 2
37.2, 2.416, 399, 0 0 7
22.2, 3.998, 389, 1 1 -1
21.0, 4.227, 332, 0 0 4
41.3, 2.186, 315, 2 0 4

```
data_ZnIn2Sb2Au7
_chemical_formula_sum 'Zn2 In4 Sb4 Au14'
_cell_length_a 5.700
_cell_length_b 5.687
_cell_length_c 17.132
_cell_angle_alpha 90.00
_cell_angle_beta 99.25
_cell_angle_gamma 90.00
_space_group_name_H-M_alt 'C 1 2/m 1'
_space_group_IT_number 12
_space_group_name_Hall '-C 2y'
loop_
_atom_site_label
_atom_site_fract_x
_atom_site_fract_y
_atom_site_fract_z
_atom_site_occupancy
Zn1 0.000 0.000 0.000 1
In1 0.125 0.500 0.248 1
Sb1 0.215 0.000 0.428 1
Au1 0.000 0.500 0.000 1
Au2 0.185 0.250 0.872 1
Au3 0.205 0.500 0.408 1
```

Computed powder X-ray diffraction pattern of ScInAu4 for Cu Kα, from a GGA-PBE-relaxed structure.
Intensities are scaled so that the largest is 1000.

Largest 10 diffraction maxima, in order of falling intensity, 2θ = 10–80°:
Position (°2θ), d [Å], intensity, index
39.2, 2.295, 1000, 1 1 0
35.0, 2.565, 674, 1 0 -2
35.2, 2.551, 666, 1 -1 2
39.4, 2.285, 487, 0 1 2
40.2, 2.245, 462, 0 2 -2
49.5, 1.840, 257, 2 -1 0
51.4, 1.778, 218, 0 1 -4
26.2, 3.396, 182, 1 -1 0
73.9, 1.282, 151, -1 3 2
20.2, 4.405, 127, 0 1 0

```
data_ScInAu4
_chemical_formula_sum 'Sc1 In1 Au4'
_cell_length_a 3.681
_cell_length_b 5.062
_cell_length_c 7.115
_cell_angle_alpha 109.48
_cell_angle_beta 90.33
_cell_angle_gamma 111.16
_space_group_name_H-M_alt 'P -1'
_space_group_IT_number 2
_space_group_name_Hall '-P 1'
loop_
_atom_site_label
_atom_site_fract_x
_atom_site_fract_y
_atom_site_fract_z
_atom_site_occupancy
Sc1 0.000 0.000 0.000 1
In1 0.000 0.000 0.500 1
Au1 0.333 0.671 0.678 1
Au2 0.337 0.672 0.158 1
```

Computed powder X-ray diffraction pattern of TmScInAu for Cu Kα, from a GGA-PBE-relaxed structure.
Intensities are scaled so that the largest is 1000.

Largest 10 diffraction maxima, in order of falling intensity, 2θ = 10–80°:
Position (°2θ), d [Å], intensity, index
35.3, 2.541, 1000, 1 0 2
36.4, 2.470, 516, 1 1 0
64.8, 1.439, 339, 2 1 2
52.4, 1.746, 221, 2 0 0
11.9, 7.408, 216, 0 0 1
62.7, 1.482, 174, 1 1 4
28.2, 3.159, 174, 1 0 1
74.7, 1.270, 117, 2 0 4
49.2, 1.852, 87, 0 0 4
38.4, 2.343, 59, 1 1 1

```
data_TmScInAu
_chemical_formula_sum 'Tm1 Sc1 In1 Au1'
_cell_length_a 3.493
_cell_length_b 3.493
_cell_length_c 7.408
_cell_angle_alpha 90.00
_cell_angle_beta 90.00
_cell_angle_gamma 90.00
_space_group_name_H-M_alt 'P 4 m m'
_space_group_IT_number 99
_space_group_name_Hall 'P 4 -2'
loop_
_atom_site_label
_atom_site_fract_x
_atom_site_fract_y
_atom_site_fract_z
_atom_site_occupancy
Tm1 0.000 0.000 0.000 1
Sc1 0.000 0.000 0.539 1
In1 0.500 0.500 0.283 1
Au1 0.500 0.500 0.752 1
```

Computed powder X-ray diffraction pattern of InAuSe2 for Cu Kα, from a GGA-PBE-relaxed structure.
Intensities are scaled so that the largest is 1000.

Largest 10 diffraction maxima, in order of falling intensity, 2θ = 10–80°:
Position (°2θ), d [Å], intensity, index
24.9, 3.570, 1000, 3 1 -1
33.8, 2.652, 912, 3 1 1
16.3, 5.430, 849, 1 1 0
34.5, 2.597, 633, 3 1 -2
43.3, 2.091, 458, 2 2 -2
39.4, 2.289, 270, 6 0 0
26.0, 3.431, 232, 4 0 0
36.1, 2.489, 227, 6 0 -1
50.5, 1.808, 210, 6 2 0
46.6, 1.951, 210, 4 0 -3

```
data_InAuSe2
_chemical_formula_sum 'In4 Au4 Se8'
_cell_length_a 14.930
_cell_length_b 5.910
_cell_length_c 5.916
_cell_angle_alpha 90.00
_cell_angle_beta 113.20
_cell_angle_gamma 90.00
_space_group_name_H-M_alt 'C 1 2 1'
_space_group_IT_number 5
_space_group_name_Hall 'C 2y'
loop_
_atom_site_label
_atom_site_fract_x
_atom_site_fract_y
_atom_site_fract_z
_atom_site_occupancy
In1 0.250 0.000 0.250 1
Au1 0.108 0.499 0.109 1
Se1 0.129 0.209 0.422 1
Se2 0.129 0.791 0.840 1
```

Computed powder X-ray diffraction pattern of InSnAu2Se4 for Cu Kα, from a GGA-PBE-relaxed structure.
Intensities are scaled so that the largest is 1000.

Largest 10 diffraction maxima, in order of falling intensity, 2θ = 10–80°:
Position (°2θ), d [Å], intensity, index
25.0, 3.568, 1000, 1 1 2
41.3, 2.185, 714, 2 0 4
48.9, 1.861, 325, 3 1 2
48.8, 1.867, 165, 1 1 6
75.4, 1.260, 161, 4 2 4
65.8, 1.419, 134, 3 1 6
75.2, 1.263, 82, 2 2 8
60.0, 1.543, 78, 4 0 0
16.0, 5.524, 77, 1 0 1
28.9, 3.085, 68, 2 0 0

```
data_InSnAu2Se4
_chemical_formula_sum 'In2 Sn2 Au4 Se8'
_cell_length_a 6.170
_cell_length_b 6.170
_cell_length_c 12.396
_cell_angle_alpha 90.00
_cell_angle_beta 90.00
_cell_angle_gamma 90.00
_space_group_name_H-M_alt 'I -4'
_space_group_IT_number 82
_space_group_name_Hall 'I -4'
loop_
_atom_site_label
_atom_site_fract_x
_atom_site_fract_y
_atom_site_fract_z
_atom_site_occupancy
In1 0.000 0.000 0.000 1
Sn1 0.000 0.500 0.750 1
Au1 0.000 0.000 0.500 1
Au2 0.000 0.500 0.250 1
Se1 0.239 0.742 0.378 1
```

Computed powder X-ray diffraction pattern of InSiAu for Cu Kα, from a GGA-PBE-relaxed structure.
Intensities are scaled so that the largest is 1000.

Largest 10 diffraction maxima, in order of falling intensity, 2θ = 10–80°:
Position (°2θ), d [Å], intensity, index
16.3, 5.430, 1000, 0 1 -1
31.6, 2.829, 998, -1 1 1
32.2, 2.780, 948, 1 0 1
33.0, 2.716, 499, 0 2 -2
43.4, 2.083, 383, 0 1 2
44.8, 2.023, 338, 1 -3 1
48.0, 1.896, 331, 2 -1 0
29.2, 3.058, 296, 0 2 -1
67.4, 1.389, 224, 2 0 2
43.9, 2.064, 219, 1 2 -1

```
data_InSiAu
_chemical_formula_sum 'In2 Si2 Au2'
_cell_length_a 3.794
_cell_length_b 6.359
_cell_length_c 6.456
_cell_angle_alpha 117.93
_cell_angle_beta 92.19
_cell_angle_gamma 105.81
_space_group_name_H-M_alt 'P 1'
_space_group_IT_number 1
_space_group_name_Hall 'P 1'
loop_
_atom_site_label
_atom_site_fract_x
_atom_site_fract_y
_atom_site_fract_z
_atom_site_occupancy
In1 0.000 0.000 0.000 1
In2 0.194 0.381 0.831 1
Si1 0.449 0.879 0.371 1
Si2 0.815 0.606 0.247 1
Au1 0.347 0.704 0.648 1
Au2 0.650 0.284 0.383 1
```

Computed powder X-ray diffraction pattern of In2SiAu for Cu Kα, from a GGA-PBE-relaxed structure.
Intensities are scaled so that the largest is 1000.

Largest 10 diffraction maxima, in order of falling intensity, 2θ = 10–80°:
Position (°2θ), d [Å], intensity, index
36.0, 2.492, 1000, 2 2 0
35.1, 2.557, 946, 0 2 1
17.8, 4.984, 635, 1 1 0
36.4, 2.469, 428, 2 0 -1
44.5, 2.037, 310, 0 4 0
42.7, 2.118, 273, 2 0 1
58.8, 1.571, 210, 2 4 -1
76.4, 1.247, 195, 4 4 0
30.7, 2.908, 179, 1 1 -1
63.3, 1.468, 167, 2 4 1

```
data_In2SiAu
_chemical_formula_sum 'In4 Si2 Au2'
_cell_length_a 6.374
_cell_length_b 8.150
_cell_length_c 3.323
_cell_angle_alpha 90.00
_cell_angle_beta 98.75
_cell_angle_gamma 90.00
_space_group_name_H-M_alt 'C 1 2/m 1'
_space_group_IT_number 12
_space_group_name_Hall '-C 2y'
loop_
_atom_site_label
_atom_site_fract_x
_atom_site_fract_y
_atom_site_fract_z
_atom_site_occupancy
In1 0.250 0.250 0.000 1
Si1 0.000 0.000 0.500 1
Au1 0.000 0.500 0.500 1
```

Computed powder X-ray diffraction pattern of InSiAu for Cu Kα, from a GGA-PBE-relaxed structure.
Intensities are scaled so that the largest is 1000.

Largest 10 diffraction maxima, in order of falling intensity, 2θ = 10–80°:
Position (°2θ), d [Å], intensity, index
34.5, 2.599, 1000, 1 2 1
19.2, 4.619, 525, 0 0 2
30.7, 2.912, 363, 0 2 2
37.2, 2.419, 316, 1 0 3
32.3, 2.774, 307, 1 1 2
46.2, 1.967, 298, 0 2 4
24.7, 3.602, 229, 1 0 1
67.5, 1.387, 190, 2 2 4
55.0, 1.671, 186, 1 0 5
44.6, 2.033, 174, 1 2 3

```
data_InSiAu
_chemical_formula_sum 'In4 Si4 Au4'
_cell_length_a 3.912
_cell_length_b 7.505
_cell_length_c 9.237
_cell_angle_alpha 90.00
_cell_angle_beta 90.00
_cell_angle_gamma 90.00
_space_group_name_H-M_alt 'I m m a'
_space_group_IT_number 74
_space_group_name_Hall '-I 2b 2'
loop_
_atom_site_label
_atom_site_fract_x
_atom_site_fract_y
_atom_site_fract_z
_atom_site_occupancy
In1 0.000 0.250 0.114 1
Si1 0.000 0.250 0.678 1
Au1 0.000 0.000 0.500 1
```

Computed powder X-ray diffraction pattern of Tl2InSi2Au7 for Cu Kα, from a GGA-PBE-relaxed structure.
Intensities are scaled so that the largest is 1000.

Largest 10 diffraction maxima, in order of falling intensity, 2θ = 10–80°:
Position (°2θ), d [Å], intensity, index
34.7, 2.586, 1000, 0 2 3
40.7, 2.215, 777, 2 2 0
29.2, 3.054, 535, 2 0 1
34.5, 2.596, 346, 2 0 -3
25.8, 3.448, 326, 0 0 4
59.0, 1.566, 264, 0 4 0
70.2, 1.342, 183, 4 2 -3
31.3, 2.854, 180, 0 2 2
70.3, 1.338, 171, 2 4 3
43.7, 2.070, 164, 0 2 5

```
data_Tl2InSi2Au7
_chemical_formula_sum 'Tl4 In2 Si4 Au14'
_cell_length_a 6.265
_cell_length_b 6.264
_cell_length_c 13.791
_cell_angle_alpha 90.00
_cell_angle_beta 90.35
_cell_angle_gamma 90.00
_space_group_name_H-M_alt 'C 1 2/m 1'
_space_group_IT_number 12
_space_group_name_Hall '-C 2y'
loop_
_atom_site_label
_atom_site_fract_x
_atom_site_fract_y
_atom_site_fract_z
_atom_site_occupancy
Tl1 0.003 0.000 0.364 1
In1 0.000 0.000 0.000 1
Si1 0.003 0.500 0.229 1
Au1 0.000 0.500 0.000 1
Au2 0.003 0.500 0.403 1
Au3 0.248 0.250 0.853 1
```

Computed powder X-ray diffraction pattern of Sm2InAu6 for Cu Kα, from a GGA-PBE-relaxed structure.
Intensities are scaled so that the largest is 1000.

Largest 10 diffraction maxima, in order of falling intensity, 2θ = 10–80°:
Position (°2θ), d [Å], intensity, index
35.9, 2.502, 1000, 0 2 1
36.5, 2.459, 266, 1 0 2
46.3, 1.961, 226, 2 0 2
56.7, 1.625, 200, 2 2 0
31.8, 2.814, 189, 2 0 0
32.0, 2.793, 172, 1 1 1
67.7, 1.384, 148, 2 1 3
51.5, 1.774, 137, 3 0 1
42.5, 2.127, 117, 2 1 0
68.9, 1.363, 112, 4 0 1

```
data_Sm2InAu6
_chemical_formula_sum 'Sm2 In1 Au6'
_cell_length_a 6.4989
_cell_length_b 6.4989
_cell_length_c 5.4666
_cell_angle_alpha 90.00
_cell_angle_beta 90.00
_cell_angle_gamma 120.00
_space_group_name_H-M_alt 'P -3 m 1'
_space_group_IT_number 164
_space_group_name_Hall '-P 3 2"'
loop_
_atom_site_label
_atom_site_fract_x
_atom_site_fract_y
_atom_site_fract_z
_atom_site_occupancy
Sm1 0.3333 0.6667 0.3280 1
In1 0.0000 0.0000 0.5000 1
Au1 0.1876 0.3752 0.8209 1
```

Computed powder X-ray diffraction pattern of Sm3InAu2 for Cu Kα, from a GGA-PBE-relaxed structure.
Intensities are scaled so that the largest is 1000.

Largest 10 diffraction maxima, in order of falling intensity, 2θ = 10–80°:
Position (°2θ), d [Å], intensity, index
33.7, 2.658, 1000, 1 0 3
34.7, 2.587, 478, 1 1 0
61.5, 1.507, 355, 2 1 3
59.7, 1.549, 179, 1 1 6
49.8, 1.830, 172, 2 0 0
70.9, 1.329, 107, 2 0 6
47.0, 1.934, 91, 0 0 6
78.7, 1.216, 70, 1 0 9
73.2, 1.294, 55, 2 2 0
39.6, 2.274, 38, 1 0 4

```
data_Sm3InAu2
_chemical_formula_sum 'Sm3 In1 Au2'
_cell_length_a 3.659
_cell_length_b 3.659
_cell_length_c 11.606
_cell_angle_alpha 90.00
_cell_angle_beta 90.00
_cell_angle_gamma 90.00
_space_group_name_H-M_alt 'P 4/m m m'
_space_group_IT_number 123
_space_group_name_Hall '-P 4 2'
loop_
_atom_site_label
_atom_site_fract_x
_atom_site_fract_y
_atom_site_fract_z
_atom_site_occupancy
Sm1 0.000 0.000 0.000 1
Sm2 0.000 0.000 0.318 1
In1 0.500 0.500 0.500 1
Au1 0.500 0.500 0.162 1
```